Simulated powder diffractogram
Compound: SbPdPt3
Radiation: a wavelength of 1.5418 Å
Structure: DFT lattice parameters and positions (PBE)
Intensities are scaled so that the largest is 100.

Top 8 peaks for 5 to 70 degrees two-theta, by angle:
2theta, Rel. int., (hkl)
22.5, 7, 0 0 2
31.4, 6, 2 0 0
39.0, 100, 2 0 2
45.0, 33, 2 2 0
45.9, 16, 0 0 4
50.8, 4, 2 2 2
65.5, 11, 4 0 0
66.2, 21, 2 2 4

Crystal structure
```
data_SbPdPt3
_symmetry_space_group_name_H-M 'P 4/m m m'
_symmetry_Int_Tables_number 123
_symmetry_space_group_name_Hall '-P 4 2'
_cell_length_a 5.702
_cell_length_b 5.702
_cell_length_c 7.906
_cell_angle_alpha 90.00
_cell_angle_beta 90.00
_cell_angle_gamma 90.00
loop_
_atom_site_label
_atom_site_type_symbol
_atom_site_fract_x
_atom_site_fract_y
_atom_site_fract_z
Sb1 Sb 0.000 0.000 0.000
Sb2 Sb 0.000 0.500 0.500
Pd1 Pd 0.000 0.500 0.000
Pd2 Pd 0.500 0.500 0.500
Pt1 Pt 0.250 0.250 0.255
Pt2 Pt 0.500 0.500 0.000
```